Record 1
Ca2Ac6Nd: simulated powder X-ray diffraction pattern (Cu Kα (λ = 1.5418 Å)), based on the PBE geometry in Alexandria.
Kinematic intensities with the Lorentz-polarization factor, no thermal factor.

Main lines, by angle (15 to 90 degrees two-theta):
- 2θ 26.20, rel. 51
- 2θ 27.28, rel. 41
- 2θ 28.92, rel. 54
- 2θ 30.36, rel. 100
- 2θ 38.18, rel. 33
- 2θ 46.24, rel. 36
- 2θ 51.08, rel. 33
- 2θ 54.51, rel. 37
- 2θ 56.31, rel. 25
- 2θ 75.73, rel. 24

abc: 3.927 3.927 29.426
angles: 90.00 90.00 120.00
Positions (direct):
Ca 0.000 0.000 0.172
Ca 0.000 0.000 0.828
Ac 0.000 0.000 0.395
Ac 0.000 0.000 0.605
Ac 0.667 0.333 0.063
Ac 0.667 0.333 0.284
Ac 0.667 0.333 0.716
Ac 0.667 0.333 0.937
Nd 0.667 0.333 0.500

Record 2
ZrNpS2N: simulated powder X-ray diffraction pattern (Cu Kα (λ = 1.5418 Å)), based on the PBE geometry in Alexandria.
Kinematic intensities with the Lorentz-polarization factor, no thermal factor.

Main lines, by angle (15 to 90 degrees two-theta):
- 2θ 27.63, rel. 23
- 2θ 27.84, rel. 100
- 2θ 31.94, rel. 38
- 2θ 34.36, rel. 67
- 2θ 36.99, rel. 48
- 2θ 44.64, rel. 32
- 2θ 49.38, rel. 28
- 2θ 55.32, rel. 24
- 2θ 57.64, rel. 28
- 2θ 63.27, rel. 20

abc: 3.691 3.691 12.915
angles: 90.00 90.00 90.00
Positions (direct):
Zr 0.250 0.250 0.092
Zr 0.750 0.750 0.908
Np 0.250 0.250 0.595
Np 0.750 0.750 0.405
S 0.250 0.250 0.296
S 0.250 0.250 0.885
S 0.750 0.750 0.115
S 0.750 0.750 0.704
N 0.250 0.750 0.500
N 0.750 0.250 0.500

Record 3
Pm12YHo5: simulated powder X-ray diffraction pattern (Cu Kα (λ = 1.5418 Å)), based on the PBE geometry in Alexandria.
Kinematic intensities with the Lorentz-polarization factor, no thermal factor.

Main lines, by angle (15 to 90 degrees two-theta):
- 2θ 25.43, rel. 7
- 2θ 31.02, rel. 23
- 2θ 31.23, rel. 100
- 2θ 44.63, rel. 15
- 2θ 55.31, rel. 16
- 2θ 55.58, rel. 11
- 2θ 55.67, rel. 6
- 2θ 62.03, rel. 10
- 2θ 62.15, rel. 7
- 2θ 85.42, rel. 6

abc: 10.508 10.508 5.765
angles: 90.00 90.00 109.54
Positions (direct):
Pm 0.031 0.670 0.999
Pm 0.169 0.531 0.501
Pm 0.201 0.201 0.495
Pm 0.298 0.298 0.995
Pm 0.330 0.969 0.001
Pm 0.469 0.831 0.499
Pm 0.531 0.169 0.501
Pm 0.670 0.031 0.999
Pm 0.702 0.702 0.005
Pm 0.799 0.799 0.505
Pm 0.831 0.469 0.499
Pm 0.969 0.330 0.001
Y 0.500 0.500 0.500
Ho 0.000 0.000 0.000
Ho 0.135 0.865 0.500
Ho 0.365 0.635 0.000
Ho 0.635 0.365 0.000
Ho 0.865 0.135 0.500